Calculated PXRD pattern of CrH12PdN4O4 for CuKα, from a structure optimized by DFT (GGA+U).
Intensities are scaled so that the largest is 100.

Main lines, sorted by position (15 to 90 degrees two-theta):
20.49°, d = 4.334 Å, rel. 100
22.84°, d = 3.894 Å, rel. 40
24.13°, d = 3.688 Å, rel. 38
33.47°, d = 2.678 Å, rel. 28
40.36°, d = 2.235 Å, rel. 33
52.76°, d = 1.735 Å, rel. 18

Cell and atoms:
Cell lengths 9.3728, 9.3728, 9.3728 Å; angles 133.65, 133.65, 67.63 degrees
Positions (direct):
1 Cr 0.3750 0.6250 0.7500
2 Cr 0.6250 0.3750 0.2500
3 H 0.0109 0.4861 0.2014
4 H 0.0109 0.8095 0.5248
5 H 0.1905 0.2153 0.2014
6 H 0.1905 0.9891 0.9752
7 H 0.1947 0.2556 0.5609
8 H 0.1947 0.6339 0.9391
9 H 0.2153 0.1905 0.7014
10 H 0.2153 0.5139 0.0248
11 H 0.2556 0.1947 0.0609
12 H 0.3661 0.8053 0.5609
13 H 0.4861 0.0109 0.7014
14 H 0.4861 0.7847 0.4752
15 H 0.5139 0.2153 0.5248
16 H 0.5139 0.9891 0.2986
17 H 0.6339 0.1947 0.4391
18 H 0.7444 0.8053 0.9391
19 H 0.7847 0.4861 0.9752
20 H 0.7847 0.8095 0.2986
21 H 0.8053 0.3661 0.0609
22 H 0.8053 0.7444 0.4391
23 H 0.8095 0.0109 0.0248
24 H 0.8095 0.7847 0.7986
25 H 0.9891 0.1905 0.4752
26 H 0.9891 0.5139 0.7986
27 Pd 0.1250 0.8750 0.2500
28 Pd 0.8750 0.1250 0.7500
29 N 0.1297 0.1591 0.5294
30 N 0.1297 0.6003 0.9706
31 N 0.1591 0.1297 0.0294
32 N 0.3997 0.8703 0.5294
33 N 0.6003 0.1297 0.4706
34 N 0.8409 0.8703 0.9706
35 N 0.8703 0.3997 0.0294
36 N 0.8703 0.8409 0.4706
37 O 0.2502 0.6862 0.5640
38 O 0.3138 0.3778 0.5640
39 O 0.3138 0.7498 0.9360
40 O 0.3778 0.3138 0.0640
41 O 0.6222 0.6862 0.9360
42 O 0.6862 0.2502 0.0640
43 O 0.6862 0.6222 0.4360
44 O 0.7498 0.3138 0.4360